Entry 1:
# Tl6Se2F
Theoretical PXRD pattern, Cu Kα X-rays. Input: DFT lattice parameters and positions (GGA-PBE).

Cell and atoms:
```
Tl6Se2F
1.0
6.406 -2.121 0.000
6.406 2.121 0.000
-4.524 0.000 10.485
Tl Se F
6 2 1
Direct
0.028 0.028 0.264
0.346 0.346 0.444
0.348 0.348 0.916
0.652 0.652 0.084
0.654 0.654 0.556
0.972 0.972 0.736
0.346 0.346 0.185
0.654 0.654 0.815
0.000 0.000 0.500
```

The 6 most intense peaks (2θ = 10–90°), most intense first:
2θ 31.06, I = 100; 2θ 26.19, I = 92; 2θ 31.38, I = 50; 2θ 26.89, I = 36; 2θ 45.66, I = 33; 2θ 43.80, I = 33

Entry 2:
# Tl3SeF
Theoretical PXRD pattern, Cu Kα X-rays. Input: DFT lattice parameters and positions (GGA-PBE).

Cell and atoms:
```
Tl3SeF
1.0
6.968 0.000 0.000
0.000 7.198 0.000
-5.546 0.000 12.466
Tl Se F
12 4 4
Direct
0.106 0.118 0.406
0.106 0.382 0.906
0.213 0.619 0.446
0.213 0.881 0.946
0.333 0.217 0.713
0.333 0.283 0.213
0.667 0.717 0.787
0.667 0.783 0.287
0.787 0.119 0.054
0.787 0.381 0.554
0.894 0.618 0.094
0.894 0.882 0.594
0.220 0.642 0.758
0.220 0.858 0.258
0.780 0.142 0.742
0.780 0.358 0.242
0.401 0.161 0.909
0.401 0.339 0.409
0.599 0.661 0.591
0.599 0.839 0.091
```

The 6 most intense peaks (2θ = 10–90°), most intense first:
2θ 27.96, I = 100; 2θ 26.23, I = 77; 2θ 32.92, I = 69; 2θ 28.62, I = 63; 2θ 23.69, I = 39; 2θ 26.78, I = 35

Entry 3:
# UTlSe2F
Theoretical PXRD pattern, Cu Kα X-rays. Input: DFT lattice parameters and positions (GGA-PBE).

Cell and atoms:
```
UTlSe2F
1.0
8.234 0.000 0.000
0.000 4.154 0.000
-2.545 0.000 8.769
U Tl Se F
2 2 4 2
Direct
0.183 0.250 0.174
0.817 0.750 0.826
0.250 0.250 0.680
0.750 0.750 0.320
0.156 0.750 0.376
0.180 0.750 0.955
0.820 0.250 0.045
0.844 0.250 0.624
0.447 0.250 0.243
0.553 0.750 0.757
```

The 6 most intense peaks (2θ = 10–90°), most intense first:
2θ 29.62, I = 100; 2θ 40.95, I = 44; 2θ 22.49, I = 41; 2θ 24.20, I = 29; 2θ 20.25, I = 26; 2θ 11.19, I = 26

Entry 4:
# TmSeF2
Theoretical PXRD pattern, Cu Kα X-rays. Input: DFT lattice parameters and positions (GGA-PBE).

Cell and atoms:
```
TmSeF2
1.0
1.904 -5.449 0.000
1.904 5.449 0.000
0.000 0.000 6.493
Tm Se F
2 2 4
Direct
0.239 0.761 0.750
0.761 0.239 0.250
0.026 0.974 0.250
0.974 0.026 0.750
0.307 0.693 0.067
0.307 0.693 0.433
0.693 0.307 0.567
0.693 0.307 0.933
```

The 6 most intense peaks (2θ = 10–90°), most intense first:
2θ 28.38, I = 100; 2θ 36.89, I = 98; 2θ 16.27, I = 72; 2θ 27.47, I = 69; 2θ 66.46, I = 48; 2θ 32.87, I = 47

Entry 5:
# Y16Se16F15
Theoretical PXRD pattern, Cu Kα X-rays. Input: DFT lattice parameters and positions (GGA-PBE).

Cell and atoms:
```
Y16Se16F15
1.0
10.017 0.000 0.000
0.000 4.133 0.000
-3.398 0.000 25.455
Y Se F
16 16 15
Direct
0.000 0.000 0.000
0.028 0.500 0.621
0.082 0.000 0.251
0.116 0.500 0.868
0.168 0.000 0.497
0.197 0.500 0.118
0.284 0.500 0.367
0.417 0.000 0.740
0.498 0.000 0.993
0.540 0.500 0.620
0.583 0.000 0.243
0.614 0.500 0.875
0.662 0.000 0.497
0.700 0.500 0.125
0.781 0.500 0.378
0.915 0.000 0.751
0.059 0.500 0.425
0.138 0.000 0.692
0.226 0.000 0.943
0.268 0.500 0.568
0.309 0.000 0.194
0.352 0.500 0.816
0.397 0.000 0.442
0.436 0.500 0.068
0.522 0.500 0.318
0.677 0.000 0.801
0.761 0.000 0.051
0.801 0.500 0.677
0.845 0.000 0.303
0.889 0.500 0.925
0.931 0.000 0.549
0.972 0.500 0.176
0.057 0.500 0.036
0.058 0.000 0.832
0.140 0.500 0.287
0.141 0.000 0.082
0.226 0.000 0.332
0.446 0.500 0.705
0.500 0.000 0.660
0.529 0.500 0.957
0.579 0.000 0.574
0.583 0.000 0.911
0.615 0.500 0.207
0.669 0.000 0.162
0.697 0.500 0.461
0.750 0.000 0.414
0.974 0.500 0.786
```

The 6 most intense peaks (2θ = 10–90°), most intense first:
2θ 25.70, I = 100; 2θ 30.23, I = 56; 2θ 39.21, I = 50; 2θ 40.89, I = 49; 2θ 42.22, I = 44; 2θ 43.81, I = 42

Entry 6:
# SiF5
Theoretical PXRD pattern, Cu Kα X-rays. Input: DFT lattice parameters and positions (GGA-PBE).

Cell and atoms:
```
SiF5
1.0
-3.501 3.501 1.802
3.501 -3.501 1.802
3.501 3.501 -1.802
Si F
1 5
Direct
0.000 0.000 0.000
0.064 0.771 0.835
0.229 0.064 0.293
0.500 0.500 0.000
0.771 0.936 0.707
0.936 0.229 0.165
```

The 6 most intense peaks (2θ = 10–90°), most intense first:
2θ 17.92, I = 100; 2θ 27.84, I = 48; 2θ 40.76, I = 23; 2θ 25.45, I = 17; 2θ 38.07, I = 16; 2θ 60.25, I = 11

Entry 7:
# Si23F4
Theoretical PXRD pattern, Cu Kα X-rays. Input: DFT lattice parameters and positions (GGA-PBE).

Cell and atoms:
```
Si23F4
1.0
10.092 0.000 0.000
0.000 10.092 0.000
0.000 0.000 10.092
Si F
46 8
Direct
0.000 0.114 0.313
0.000 0.114 0.687
0.000 0.250 0.500
0.000 0.750 0.500
0.000 0.886 0.313
0.000 0.886 0.687
0.114 0.313 0.000
0.114 0.687 0.000
0.182 0.182 0.182
0.182 0.182 0.818
0.182 0.818 0.182
0.182 0.818 0.818
0.187 0.386 0.500
0.187 0.614 0.500
0.250 0.500 0.000
0.313 0.000 0.114
0.313 0.000 0.886
0.318 0.318 0.318
0.318 0.318 0.682
0.318 0.682 0.318
0.318 0.682 0.682
0.386 0.500 0.187
0.386 0.500 0.813
0.500 0.000 0.250
0.500 0.000 0.750
0.500 0.187 0.386
0.500 0.187 0.614
0.500 0.813 0.386
0.500 0.813 0.614
0.614 0.500 0.187
0.614 0.500 0.813
0.682 0.318 0.318
0.682 0.318 0.682
0.682 0.682 0.318
0.682 0.682 0.682
0.687 0.000 0.114
0.687 0.000 0.886
0.750 0.500 0.000
0.813 0.386 0.500
0.813 0.614 0.500
0.818 0.182 0.182
0.818 0.182 0.818
0.818 0.818 0.182
0.818 0.818 0.818
0.886 0.313 0.000
0.886 0.687 0.000
0.000 0.000 0.000
0.000 0.500 0.250
0.000 0.500 0.750
0.250 0.000 0.500
0.500 0.250 0.000
0.500 0.500 0.500
0.500 0.750 0.000
0.750 0.000 0.500
```

The 6 most intense peaks (2θ = 10–90°), most intense first:
2θ 33.22, I = 100; 2θ 52.90, I = 58; 2θ 56.19, I = 40; 2θ 30.69, I = 33; 2θ 31.98, I = 31; 2θ 19.67, I = 27

Entry 8:
# Si23F3
Theoretical PXRD pattern, Cu Kα X-rays. Input: DFT lattice parameters and positions (GGA-PBE).

Cell and atoms:
```
Si23F3
1.0
10.115 0.000 0.000
0.000 10.115 0.000
0.000 0.000 10.115
Si F
46 6
Direct
0.000 0.115 0.313
0.000 0.115 0.687
0.000 0.250 0.500
0.000 0.750 0.500
0.000 0.885 0.313
0.000 0.885 0.687
0.115 0.313 0.000
0.115 0.687 0.000
0.183 0.183 0.183
0.183 0.183 0.817
0.183 0.817 0.183
0.183 0.817 0.817
0.187 0.385 0.500
0.187 0.615 0.500
0.250 0.500 0.000
0.313 0.000 0.115
0.313 0.000 0.885
0.317 0.317 0.317
0.317 0.317 0.683
0.317 0.683 0.317
0.317 0.683 0.683
0.385 0.500 0.187
0.385 0.500 0.813
0.500 0.000 0.250
0.500 0.000 0.750
0.500 0.187 0.385
0.500 0.187 0.615
0.500 0.813 0.385
0.500 0.813 0.615
0.615 0.500 0.187
0.615 0.500 0.813
0.683 0.317 0.317
0.683 0.317 0.683
0.683 0.683 0.317
0.683 0.683 0.683
0.687 0.000 0.115
0.687 0.000 0.885
0.750 0.500 0.000
0.813 0.385 0.500
0.813 0.615 0.500
0.817 0.183 0.183
0.817 0.183 0.817
0.817 0.817 0.183
0.817 0.817 0.817
0.885 0.313 0.000
0.885 0.687 0.000
0.000 0.500 0.250
0.000 0.500 0.750
0.250 0.000 0.500
0.500 0.250 0.000
0.500 0.750 0.000
0.750 0.000 0.500
```

The 6 most intense peaks (2θ = 10–90°), most intense first:
2θ 33.14, I = 100; 2θ 52.77, I = 84; 2θ 30.62, I = 51; 2θ 56.05, I = 44; 2θ 21.52, I = 40; 2θ 31.90, I = 39

Entry 9:
# Tl3SiF6
Theoretical PXRD pattern, Cu Kα X-rays. Input: DFT lattice parameters and positions (GGA-PBE).

Cell and atoms:
```
Tl3SiF6
1.0
0.000 4.666 5.712
3.755 0.000 5.712
3.755 4.666 0.000
Tl Si F
3 1 6
Direct
0.000 0.000 0.000
0.250 0.250 0.250
0.750 0.750 0.750
0.500 0.500 0.500
0.230 0.556 0.770
0.317 0.683 0.317
0.444 0.770 0.556
0.556 0.230 0.444
0.683 0.317 0.683
0.770 0.444 0.230
```

The 6 most intense peaks (2θ = 10–90°), most intense first:
2θ 24.64, I = 100; 2θ 28.45, I = 80; 2θ 30.56, I = 48; 2θ 44.33, I = 46; 2θ 48.64, I = 32; 2θ 31.32, I = 25

Entry 10:
# Tl2SiF5
Theoretical PXRD pattern, Cu Kα X-rays. Input: DFT lattice parameters and positions (GGA-PBE).

Cell and atoms:
```
Tl2SiF5
1.0
3.180 -4.415 0.000
3.180 4.415 0.000
-0.729 0.000 5.723
Tl Si F
2 1 5
Direct
0.206 0.794 0.000
0.794 0.206 0.000
0.435 0.435 0.493
0.175 0.175 0.443
0.247 0.629 0.497
0.556 0.556 0.764
0.572 0.572 0.270
0.629 0.247 0.497
```

The 6 most intense peaks (2θ = 10–90°), most intense first:
2θ 15.48, I = 100; 2θ 25.48, I = 89; 2θ 28.29, I = 57; 2θ 20.11, I = 46; 2θ 31.26, I = 41; 2θ 37.46, I = 38